Theoretical powder X-ray diffraction pattern
Compound: Li2AcSnAu2
Radiation: Cu Kα
Structure: a DFT-relaxed cell (PBE, Alexandria)
No peak broadening, texture or thermal motion is included.

The 10 most intense peaks (2θ = 5–70°), in order of rising 2θ:
Position (°2θ)	I_rel
22.20	9
25.46	86
33.50	100
38.95	64
44.03	16
47.11	17
52.30	29
62.73	15
65.81	23
67.09	28

Cell and atoms:
```
Li2AcSnAu2
1.0
4.624 0.000 0.000
-2.312 4.005 0.000
0.000 0.000 7.190
Li Ac Sn Au
2 1 1 2
Cartesian
0.000 2.670 1.096
2.312 1.335 6.094
0.000 0.000 3.595
0.000 0.000 0.000
0.000 2.670 5.552
2.312 1.335 1.638
```


Theoretical powder X-ray diffraction pattern
Compound: Tm3In2Hg6
Radiation: Cu Kα
Structure: a DFT-relaxed cell (PBE, Alexandria)
No peak broadening, texture or thermal motion is included.

The 10 most intense peaks (2θ = 5–70°), in order of rising 2θ:
Position (°2θ)	I_rel
28.67	73
30.09	19
33.46	53
36.29	17
37.20	100
40.05	70
50.89	17
55.14	21
57.93	24
69.89	23

Cell and atoms:
```
Tm3In2Hg6
1.0
-2.251 2.251 14.852
2.251 -2.251 14.852
2.251 2.251 -14.852
Tm In Hg
3 2 6
Cartesian
0.000 0.000 0.000
0.000 0.000 4.492
0.000 0.000 25.212
0.000 0.000 10.511
0.000 0.000 19.193
2.251 0.000 2.119
0.000 0.000 7.518
2.251 0.000 12.733
0.000 2.251 2.119
0.000 0.000 22.186
0.000 2.251 12.733
```


Theoretical powder X-ray diffraction pattern
Compound: SmDyGe2
Radiation: Cu Kα
Structure: a DFT-relaxed cell (PBE, Alexandria)
No peak broadening, texture or thermal motion is included.

The 10 most intense peaks (2θ = 5–70°), in order of rising 2θ:
Position (°2θ)	I_rel
29.22	85
31.51	100
32.56	96
35.13	89
36.81	57
39.78	82
45.33	41
47.74	31
56.92	39
59.76	28

Cell and atoms:
```
SmDyGe2
1.0
4.001 0.000 0.000
0.000 5.851 0.000
0.000 0.000 8.060
Sm Dy Ge
2 2 4
Cartesian
0.000 0.772 0.000
0.000 5.079 4.030
2.001 2.157 5.140
2.001 3.693 1.111
0.000 2.301 2.899
0.000 3.550 6.929
2.001 0.637 2.248
2.001 5.214 6.278
```


Theoretical powder X-ray diffraction pattern
Compound: LiPrPa
Radiation: Cu Kα
Structure: a DFT-relaxed cell (PBE, Alexandria)
No peak broadening, texture or thermal motion is included.

The 10 most intense peaks (2θ = 5–70°), in order of rising 2θ:
Position (°2θ)	I_rel
14.33	59
21.47	30
30.44	65
32.02	100
33.15	30
39.91	19
48.61	12
50.76	20
52.82	15
61.67	22

Cell and atoms:
```
LiPrPa
1.0
0.000 5.573 6.181
2.259 0.000 6.181
2.259 5.573 0.000
Li Pr Pa
2 2 2
Cartesian
1.129 2.787 3.090
3.388 8.360 9.271
2.259 5.573 1.766
2.259 5.573 10.595
2.259 3.669 6.181
2.259 7.478 6.181
```


Theoretical powder X-ray diffraction pattern
Compound: Ce3Si6PtRh2
Radiation: Cu Kα
Structure: a DFT-relaxed cell (PBE, Alexandria)
No peak broadening, texture or thermal motion is included.

The 10 most intense peaks (2θ = 5–70°), in order of rising 2θ:
Position (°2θ)	I_rel
29.39	56
30.52	100
37.37	16
38.84	36
39.82	12
42.88	34
47.47	15
53.54	19
54.23	18
63.51	18

Cell and atoms:
```
Ce3Si6PtRh2
1.0
5.859 0.000 0.000
-2.929 5.074 0.000
0.000 0.000 7.588
Ce Si Pt Rh
3 6 1 2
Cartesian
0.000 0.000 0.000
0.000 3.383 4.963
2.929 1.691 2.626
0.000 1.973 2.238
-1.221 4.088 2.238
1.708 0.986 5.350
1.221 4.088 2.238
4.151 0.986 5.350
2.929 3.101 5.350
0.000 0.000 3.794
0.000 3.383 0.271
2.929 1.691 7.317
```


Theoretical powder X-ray diffraction pattern
Compound: Nb3ZnGe
Radiation: Cu Kα
Structure: a DFT-relaxed cell (PBE, Alexandria)
No peak broadening, texture or thermal motion is included.

The 10 most intense peaks (2θ = 5–70°), in order of rising 2θ:
Position (°2θ)	I_rel
32.13	22
32.34	14
36.31	59
38.33	42
39.08	100
39.48	54
40.15	46
43.37	25
61.64	13
65.87	13

Cell and atoms:
```
Nb3ZnGe
1.0
6.301 -2.867 0.000
6.301 2.867 0.000
-0.030 0.000 9.790
Nb Zn Ge
12 4 4
Cartesian
2.404 0.190 1.966
5.622 1.437 5.776
2.389 -0.190 6.861
6.934 1.437 8.909
4.882 0.047 3.183
4.867 -0.047 8.078
7.704 0.047 1.712
7.689 -0.047 6.607
5.637 -1.437 0.881
10.183 0.190 2.929
6.949 -1.437 4.014
10.167 -0.190 7.824
4.463 1.508 0.590
8.123 1.508 4.305
4.448 -1.508 5.485
8.108 -1.508 9.200
3.135 1.434 4.895
6.293 2.153 2.448
3.150 -1.434 0.000
6.278 -2.153 7.343
```


Theoretical powder X-ray diffraction pattern
Compound: RbGe2Au3
Radiation: Cu Kα
Structure: a DFT-relaxed cell (PBE, Alexandria)
No peak broadening, texture or thermal motion is included.

The 10 most intense peaks (2θ = 5–70°), in order of rising 2θ:
Position (°2θ)	I_rel
13.90	34
22.49	21
26.38	21
28.01	65
29.08	100
36.88	42
40.28	37
46.94	32
49.78	28
50.23	38

Cell and atoms:
```
RbGe2Au3
1.0
4.874 0.000 0.000
0.000 12.743 0.000
0.000 0.000 5.041
Rb Ge Au
2 4 6
Cartesian
1.219 3.186 0.852
3.656 9.558 4.189
1.219 7.032 1.748
1.219 12.083 1.748
3.656 0.660 3.293
3.656 5.712 3.293
1.219 0.008 4.236
1.219 6.363 4.236
1.219 9.558 1.785
3.656 3.186 3.256
3.656 6.380 0.805
3.656 12.735 0.805
```


Theoretical powder X-ray diffraction pattern
Compound: P3Pt2Pb2
Radiation: Cu Kα
Structure: a DFT-relaxed cell (PBE, Alexandria)
No peak broadening, texture or thermal motion is included.

The 10 most intense peaks (2θ = 5–70°), in order of rising 2θ:
Position (°2θ)	I_rel
23.54	58
26.84	42
30.63	38
30.89	49
32.47	100
33.60	39
40.29	33
44.56	21
45.52	30
50.15	41

Cell and atoms:
```
P3Pt2Pb2
1.0
8.421 0.000 0.000
0.000 8.570 0.000
0.000 0.000 3.986
P Pt Pb
6 4 4
Cartesian
0.000 0.000 0.000
1.315 2.991 1.993
2.896 7.276 1.993
4.210 4.285 0.000
5.525 1.294 1.993
7.106 5.579 1.993
0.512 7.086 1.993
3.699 2.801 1.993
4.722 5.769 1.993
7.909 1.484 1.993
1.497 5.110 0.000
2.713 0.825 0.000
5.708 7.745 0.000
6.924 3.460 0.000
```